The following is a calculated X-ray powder pattern of LaNd3Mn4O12. It was derived from a DFT-relaxed cell (PBE+U, Alexandria), using Cu Kα.
Intensities are scaled so that the largest is 100.

Structural model:
Cell lengths 5.504, 7.696, 5.920 Å; angles 90.00, 90.02, 90.00 degrees
Fractional coordinates of all 20 atoms:
La 0.000 0.000 0.000
Nd 0.472 0.000 0.505
Nd 0.502 0.500 0.363
Nd 0.970 0.500 0.861
Mn 0.486 0.251 0.934
Mn 0.486 0.749 0.934
Mn 0.987 0.251 0.434
Mn 0.987 0.749 0.434
O 0.083 0.500 0.461
O 0.201 0.205 0.748
O 0.201 0.795 0.748
O 0.277 0.204 0.254
O 0.277 0.796 0.254
O 0.388 0.500 0.962
O 0.575 0.000 0.908
O 0.700 0.298 0.618
O 0.700 0.702 0.618
O 0.773 0.300 0.117
O 0.773 0.700 0.117
O 0.891 0.000 0.411

The 8 most intense peaks (10° ≤ 2θ ≤ 90°), in order of rising 2θ:
2θ 24.94, rel. 25, hkl 1 1 -1
2θ 30.19, rel. 21, hkl 0 0 2
2θ 32.16, rel. 100, hkl 1 2 1
2θ 32.41, rel. 16, hkl 0 1 2
2θ 32.53, rel. 25, hkl 2 0 0
2θ 44.98, rel. 19, hkl 2 0 2
2θ 50.55, rel. 21, hkl 1 1 3
2θ 57.81, rel. 23, hkl 3 2 1